# Li2CrO3
Simulated X-ray diffraction stick pattern, Cu Kα (λ = 1.5418 Å). Input: DFT lattice parameters and positions (PBE+U).

The 8 most intense peaks (2θ from 10° to 90°), in order of rising 2θ:
- 2θ 14.52, I = 228, hkl 0 1 -1
- 2θ 15.36, I = 286, hkl 0 1 1
- 2θ 18.39, I = 1000, hkl 0 0 2
- 2θ 23.69, I = 231, hkl 0 2 0
- 2θ 43.26, I = 371, hkl 1 1 2
- 2θ 43.55, I = 357, hkl -1 2 3
- 2θ 44.56, I = 316, hkl 0 3 -3
- 2θ 63.71, I = 268, hkl -2 1 1

Structure:
Unit cell a=2.9218 b=7.6554 c=9.7720 alpha=91.66 beta=98.42 gamma=100.65
Sites, in units of the cell vectors:
Li1 0.0000 0.0000 0.0000
Li2 0.0739 0.4228 0.7424
Li3 0.2500 0.2502 0.2501
Li4 0.4139 0.0771 0.7580
Li5 0.4985 0.5001 0.5003
Li6 0.5816 0.9234 0.2425
Li7 0.7404 0.7499 0.7503
Li8 0.9162 0.5776 0.2583
Cr1 0.1693 0.8197 0.5033
Cr2 0.3495 0.6810 0.9974
Cr3 0.6742 0.3191 0.0030
Cr4 0.8272 0.1806 0.4971
O1 0.0452 0.2256 0.8862
O2 0.1205 0.6400 0.6173
O3 0.2064 0.0465 0.3925
O4 0.2939 0.4537 0.1072
O5 0.3617 0.8597 0.8827
O6 0.4560 0.2740 0.6139
O7 0.5395 0.7262 0.3864
O8 0.6231 0.1401 0.1175
O9 0.7353 0.5464 0.8933
O10 0.7905 0.9538 0.6078
O11 0.8761 0.3602 0.3831
O12 0.9255 0.7745 0.1142